# 1
Structure and theoretical XRD peak list of BaPdSO (a structure optimized by DFT (PBE); λ = 1.5418 Å (Cu Kα)).
Peak positions follow from Bragg's law for the DFT cell and can differ from measured ones.

Atomic structure:
```
BaPdSO
1.0
2.278 -5.789 0.000
2.278 5.789 0.000
0.000 0.000 6.205
Ba Pd S O
2 2 2 2
Cartesian
2.278 3.692 3.102 Ba
2.278 -3.692 0.000 Ba
2.278 0.316 2.773 Pd
2.278 -0.316 5.875 Pd
2.278 4.678 0.014 S
2.278 -4.678 3.117 S
2.278 1.320 1.022 O
2.278 -1.320 4.125 O
```

Main lines, sorted by position (10° ≤ 2θ ≤ 90°):
20.98°, d = 4.235 Å, rel. 20
25.45°, d = 3.500 Å, rel. 82
28.78°, d = 3.102 Å, rel. 73
30.35°, d = 2.945 Å, rel. 100
34.18°, d = 2.623 Å, rel. 70
39.56°, d = 2.278 Å, rel. 42
42.32°, d = 2.136 Å, rel. 82
49.65°, d = 1.836 Å, rel. 31
53.26°, d = 1.720 Å, rel. 41
61.49°, d = 1.508 Å, rel. 37

# 2
Structure and theoretical XRD peak list of BaPdSO (a structure optimized by DFT (PBE); λ = 1.5418 Å (Cu Kα)).
Peak positions follow from Bragg's law for the DFT cell and can differ from measured ones.

Atomic structure:
```
BaPdSO
1.0
6.563 0.000 0.000
0.000 7.209 0.000
0.000 0.000 8.019
Ba Pd S O
4 4 4 4
Cartesian
1.168 0.672 2.809 Ba
2.114 6.537 6.818 Ba
4.449 2.933 5.211 Ba
5.396 4.276 1.201 Ba
1.075 4.186 3.761 Pd
2.207 3.023 7.771 Pd
4.356 6.627 4.258 Pd
5.489 0.582 0.249 Pd
0.255 2.099 7.225 S
3.027 5.110 3.215 S
3.536 1.506 0.795 S
6.308 5.703 4.804 S
0.292 6.412 0.715 O
2.989 0.797 4.725 O
3.574 4.402 7.305 O
6.271 2.807 3.295 O
```

Main lines, sorted by position (10° ≤ 2θ ≤ 90°):
26.04°, d = 3.422 Å, rel. 71
27.13°, d = 3.286 Å, rel. 49
28.88°, d = 3.091 Å, rel. 69
29.41°, d = 3.037 Å, rel. 41
30.41°, d = 2.939 Å, rel. 100
38.77°, d = 2.323 Å, rel. 25
43.60°, d = 2.076 Å, rel. 24
48.69°, d = 1.870 Å, rel. 30
51.11°, d = 1.787 Å, rel. 23
55.78°, d = 1.648 Å, rel. 25

# 3
Structure and theoretical XRD peak list of BaPdSO (a structure optimized by DFT (PBE); λ = 1.5418 Å (Cu Kα)).
Peak positions follow from Bragg's law for the DFT cell and can differ from measured ones.

Atomic structure:
```
BaPdSO
1.0
1.755 -7.372 0.000
1.755 7.372 0.000
0.000 0.000 6.114
Ba Pd S O
2 2 2 2
Cartesian
1.755 5.378 4.585 Ba
1.755 -5.378 1.528 Ba
1.755 1.181 4.585 Pd
1.755 -1.181 1.528 Pd
1.755 4.678 1.528 S
1.755 -4.678 4.585 S
0.000 0.000 0.000 O
0.000 0.000 3.057 O
```

Main lines, sorted by position (10° ≤ 2θ ≤ 90°):
24.14°, d = 3.686 Å, rel. 45
29.22°, d = 3.057 Å, rel. 71
29.98°, d = 2.981 Å, rel. 58
31.32°, d = 2.856 Å, rel. 31
34.66°, d = 2.588 Å, rel. 100
38.25°, d = 2.353 Å, rel. 39
43.36°, d = 2.087 Å, rel. 38
50.54°, d = 1.806 Å, rel. 25
55.38°, d = 1.659 Å, rel. 25
59.44°, d = 1.555 Å, rel. 24

# 4
Structure and theoretical XRD peak list of BaSrPdO3 (a structure optimized by DFT (PBE); λ = 1.5418 Å (Cu Kα)).
Peak positions follow from Bragg's law for the DFT cell and can differ from measured ones.

Atomic structure:
```
BaSrPdO3
1.0
-1.838 2.032 6.553
1.838 -2.032 6.553
1.838 2.032 -6.553
Ba Sr Pd O
1 1 1 3
Cartesian
0.000 0.000 0.000 Ba
0.000 0.000 3.847 Sr
0.000 0.000 8.455 Pd
1.838 0.000 2.124 O
0.000 0.000 6.357 O
0.000 0.000 10.514 O
```

Main lines, sorted by position (10° ≤ 2θ ≤ 90°):
13.51°, d = 6.553 Å, rel. 16
30.03°, d = 2.976 Å, rel. 73
31.82°, d = 2.812 Å, rel. 80
32.86°, d = 2.726 Å, rel. 100
41.33°, d = 2.184 Å, rel. 22
44.59°, d = 2.032 Å, rel. 25
49.61°, d = 1.838 Å, rel. 18
53.78°, d = 1.705 Å, rel. 33
55.82°, d = 1.647 Å, rel. 32
59.09°, d = 1.564 Å, rel. 23